Entry 1:
Calculated PXRD pattern
Compound: Te2H5Pb2
Radiation: Cu Kα, 1.54184 Å
Structure: a crystal structure in Alexandria, relaxed with PBE

Atomic structure:
```
Te2H5Pb2
1.0
4.8111 0.0000 0.0000
0.5774 8.2450 0.0000
1.1774 3.3399 10.1848
Te H Pb
4 10 4
Direct
0.0000 0.0000 0.0000 Te
0.0177 0.1456 0.5619 Te
0.1028 0.3933 0.1247 Te
0.6115 0.7045 0.5481 Te
0.0470 0.5833 0.1527 H
0.1062 0.7318 0.7929 H
0.3703 0.5543 0.6160 H
0.4215 0.2817 0.7890 H
0.4541 0.0226 0.2327 H
0.5316 0.2343 0.8337 H
0.5998 0.6437 0.8948 H
0.7721 0.8440 0.0285 H
0.9323 0.9889 0.3446 H
0.9765 0.3223 0.6101 H
0.1999 0.8319 0.2802 Pb
0.4259 0.8975 0.7669 Pb
0.6096 0.1926 0.3258 Pb
0.9095 0.5151 0.8323 Pb
```

Peak list (10 most intense, 2θ = 10–80°, by angle)
- 7.428 Å, rel. 498
- 4.221 Å, rel. 307
- 4.110 Å, rel. 994
- 3.549 Å, rel. 715
- 3.331 Å, rel. 378
- 3.287 Å, rel. 596
- 3.087 Å, rel. 653
- 3.033 Å, rel. 1000
- 3.011 Å, rel. 920
- 2.689 Å, rel. 318

Entry 2:
Calculated PXRD pattern
Compound: SrMn2PN2
Radiation: Cu Kα, 1.54184 Å
Structure: a crystal structure in Alexandria, relaxed with PBE

Atomic structure:
```
SrMn2PN2
1.0
6.1625 0.0000 0.0000
0.0000 4.8842 0.0000
-2.4330 0.0000 6.5616
Sr Mn P N
2 4 2 4
Direct
0.1744 0.2500 0.3338 Sr
0.8256 0.7500 0.6662 Sr
0.3714 0.0003 0.8117 Mn
0.3714 0.4997 0.8117 Mn
0.6286 0.9997 0.1883 Mn
0.6286 0.5003 0.1883 Mn
0.2971 0.7500 0.0588 P
0.7029 0.2500 0.9412 P
0.1546 0.2500 0.7073 N
0.3967 0.7500 0.6387 N
0.6033 0.2500 0.3613 N
0.8454 0.7500 0.2927 N
```

Peak list (10 most intense, 2θ = 10–80°, by angle)
- 5.778 Å, rel. 546
- 5.358 Å, rel. 833
- 3.918 Å, rel. 570
- 3.609 Å, rel. 932
- 3.281 Å, rel. 661
- 3.066 Å, rel. 1000
- 2.723 Å, rel. 642
- 2.487 Å, rel. 594
- 2.222 Å, rel. 660
- 1.629 Å, rel. 578

Entry 3:
Calculated PXRD pattern
Compound: Zr2SiN
Radiation: Cu Kα, 1.54184 Å
Structure: a crystal structure in Alexandria, relaxed with PBE

Atomic structure:
```
Zr2SiN
1.0
1.6432 0.9487 6.7816
-1.6432 0.9487 6.7816
0.0000 -1.8974 6.7816
Zr Si N
2 1 1
Direct
0.2287 0.2287 0.2287 Zr
0.7713 0.7713 0.7713 Zr
0.0000 0.0000 0.0000 Si
0.5000 0.5000 0.5000 N
```

Peak list (10 most intense, 2θ = 10–80°, by angle)
- 6.782 Å, rel. 334
- 2.741 Å, rel. 608
- 2.484 Å, rel. 1000
- 2.332 Å, rel. 349
- 2.261 Å, rel. 221
- 2.034 Å, rel. 241
- 1.896 Å, rel. 179
- 1.643 Å, rel. 340
- 1.371 Å, rel. 287
- 1.329 Å, rel. 239

Entry 4:
Calculated PXRD pattern
Compound: TbPmP2O8
Radiation: Cu Kα, 1.54184 Å
Structure: a crystal structure in Alexandria, relaxed with PBE

Atomic structure:
```
TbPmP2O8
1.0
5.2752 0.0000 0.0000
-2.6376 4.5684 0.0000
0.0000 0.0000 7.1351
Tb Pm P O
1 1 2 8
Direct
0.0000 0.0000 0.0000 Tb
0.0000 0.0000 0.5000 Pm
0.3333 0.6667 0.3000 P
0.6667 0.3333 0.7000 P
0.1735 0.3470 0.2249 O
0.1735 0.8265 0.2249 O
0.3333 0.6667 0.5139 O
0.3470 0.1735 0.7751 O
0.6530 0.8265 0.2249 O
0.6667 0.3333 0.4861 O
0.8265 0.1735 0.7751 O
0.8265 0.6530 0.7751 O
```

Peak list (10 most intense, 2θ = 10–80°, by angle)
- 4.568 Å, rel. 1000
- 3.847 Å, rel. 168
- 2.812 Å, rel. 761
- 2.638 Å, rel. 472
- 2.121 Å, rel. 376
- 1.924 Å, rel. 360
- 1.727 Å, rel. 160
- 1.662 Å, rel. 151
- 1.554 Å, rel. 246
- 1.478 Å, rel. 126

Entry 5:
Calculated PXRD pattern
Compound: Nd7DyY3
Radiation: Cu Kα, 1.54184 Å
Structure: a crystal structure in Alexandria, relaxed with PBE

Atomic structure:
```
Nd7DyY3
1.0
6.4420 -5.7051 0.0000
6.4420 5.7051 0.0000
-2.7260 0.0000 5.2711
Nd Dy Y
7 1 3
Direct
0.0000 0.0000 0.0000 Nd
0.0964 0.5166 0.3067 Nd
0.2886 0.2886 0.7905 Nd
0.4834 0.9036 0.6933 Nd
0.5166 0.0964 0.3067 Nd
0.7114 0.7114 0.2095 Nd
0.9036 0.4834 0.6933 Nd
0.0000 0.0000 0.5000 Dy
0.2961 0.7039 0.0000 Y
0.5000 0.5000 0.5000 Y
0.7039 0.2961 0.0000 Y
```

Peak list (10 most intense, 2θ = 10–80°, by angle)
- 4.040 Å, rel. 127
- 3.614 Å, rel. 284
- 3.205 Å, rel. 191
- 2.967 Å, rel. 440
- 2.856 Å, rel. 348
- 2.796 Å, rel. 1000
- 2.293 Å, rel. 168
- 2.056 Å, rel. 170
- 1.678 Å, rel. 216
- 1.635 Å, rel. 102

Entry 6:
Calculated PXRD pattern
Compound: Dy5HfAs6
Radiation: Cu Kα, 1.54184 Å
Structure: a crystal structure in Alexandria, relaxed with PBE

Atomic structure:
```
Dy5HfAs6
1.0
3.5201 -6.0918 0.0000
3.5201 6.0918 0.0000
-2.3534 0.0000 6.6268
Dy Hf As
5 1 6
Direct
0.0000 0.0000 0.0000 Dy
0.1655 0.8345 0.5000 Dy
0.3301 0.6699 0.0000 Dy
0.6699 0.3301 0.0000 Dy
0.8345 0.1655 0.5000 Dy
0.5000 0.5000 0.5000 Hf
0.0967 0.4196 0.2576 As
0.2599 0.2599 0.7451 As
0.4196 0.0967 0.2576 As
0.5804 0.9033 0.7424 As
0.7401 0.7401 0.2549 As
0.9033 0.5804 0.7424 As
```

Peak list (10 most intense, 2θ = 10–80°, by angle)
- 3.316 Å, rel. 243
- 2.872 Å, rel. 1000
- 2.031 Å, rel. 739
- 1.732 Å, rel. 121
- 1.658 Å, rel. 259
- 1.436 Å, rel. 119
- 1.318 Å, rel. 34
- 1.317 Å, rel. 17
- 1.285 Å, rel. 219
- 1.284 Å, rel. 109

Entry 7:
Calculated PXRD pattern
Compound: Ac4Mg5Rh2
Radiation: Cu Kα, 1.54184 Å
Structure: a crystal structure in Alexandria, relaxed with PBE

Atomic structure:
```
Ac4Mg5Rh2
1.0
8.1224 0.0000 0.0000
0.0000 4.0589 0.0000
-0.6734 0.0000 10.1844
Ac Mg Rh
4 5 2
Direct
0.1670 0.0000 0.3482 Ac
0.2166 0.0000 0.9492 Ac
0.7834 0.0000 0.0508 Ac
0.8330 0.0000 0.6518 Ac
0.1876 0.5000 0.6589 Mg
0.4460 0.5000 0.1845 Mg
0.5000 0.5000 0.5000 Mg
0.5540 0.5000 0.8155 Mg
0.8124 0.5000 0.3411 Mg
0.0716 0.5000 0.1471 Rh
0.9284 0.5000 0.8529 Rh
```

Peak list (10 most intense, 2θ = 10–80°, by angle)
- 8.105 Å, rel. 1000
- 6.556 Å, rel. 284
- 4.446 Å, rel. 356
- 4.056 Å, rel. 518
- 2.998 Å, rel. 500
- 2.915 Å, rel. 619
- 2.868 Å, rel. 548
- 2.604 Å, rel. 552
- 2.550 Å, rel. 535
- 2.029 Å, rel. 251